# 1
# Mg11Hg9Pt4
Theoretical X-ray diffraction stick pattern, a wavelength of 1.5418 Å. Input: the PBE geometry in Alexandria.
Intensities are scaled so that the largest is 100.

Most intense lines, 2θ = 10–90°, by angle:
d/Å, two_theta, intensity
3.467, 25.7, 62
3.438, 25.9, 60
3.352, 26.6, 100
2.441, 36.8, 96
2.410, 37.3, 79
2.400, 37.5, 77
1.973, 46.0, 72
1.676, 54.8, 22
1.540, 60.1, 22
1.382, 67.8, 33

Crystal structure
Cell lengths 12.468, 12.468, 3.352 Å; angles 90.00, 90.00, 113.07 degrees
Atoms (fractional coordinates):
1 Mg 0.000 0.000 0.000
2 Mg 0.075 0.415 0.000
3 Mg 0.162 0.838 0.000
4 Mg 0.304 0.304 0.000
5 Mg 0.369 0.631 0.000
6 Mg 0.415 0.075 0.000
7 Mg 0.585 0.925 0.000
8 Mg 0.631 0.369 0.000
9 Mg 0.696 0.696 0.000
10 Mg 0.838 0.162 0.000
11 Mg 0.925 0.585 0.000
12 Hg 0.063 0.213 0.500
13 Hg 0.145 0.630 0.500
14 Hg 0.213 0.063 0.500
15 Hg 0.370 0.855 0.500
16 Hg 0.500 0.500 0.500
17 Hg 0.630 0.145 0.500
18 Hg 0.787 0.937 0.500
19 Hg 0.855 0.370 0.500
20 Hg 0.937 0.787 0.500
21 Pt 0.253 0.451 0.500
22 Pt 0.451 0.253 0.500
23 Pt 0.549 0.747 0.500
24 Pt 0.747 0.549 0.500

# 2
# PrZn3In
Theoretical X-ray diffraction stick pattern, a wavelength of 1.5418 Å. Input: the PBE geometry in Alexandria.
Intensities are scaled so that the largest is 100.

Most intense lines, 2θ = 10–90°, by angle:
d/Å, two_theta, intensity
2.804, 31.9, 40
2.694, 33.3, 100
2.188, 41.3, 47
2.051, 44.2, 11
1.959, 46.3, 23
1.725, 53.1, 18
1.573, 58.7, 10
1.547, 59.8, 15
1.460, 63.8, 17
1.341, 70.2, 22

Crystal structure
Cell lengths 6.293, 6.293, 6.184 Å; angles 90.00, 90.00, 121.07 degrees
Atoms (fractional coordinates):
1 Pr 0.250 0.750 0.752
2 Pr 0.750 0.250 0.248
3 Zn 0.139 0.861 0.276
4 Zn 0.250 0.250 0.500
5 Zn 0.361 0.639 0.276
6 Zn 0.639 0.361 0.724
7 Zn 0.750 0.750 0.500
8 Zn 0.861 0.139 0.724
9 In 0.250 0.250 0.000
10 In 0.750 0.750 0.000

# 3
# LaHoErAl
Theoretical X-ray diffraction stick pattern, a wavelength of 1.5418 Å. Input: the PBE geometry in Alexandria.
Intensities are scaled so that the largest is 100.

Most intense lines, 2θ = 10–90°, by angle:
d/Å, two_theta, intensity
3.535, 25.2, 13
3.297, 27.0, 32
3.050, 29.3, 21
2.797, 32.0, 100
2.499, 35.9, 46
1.933, 47.0, 23
1.767, 51.7, 16
1.625, 56.6, 19
1.494, 62.1, 30
1.196, 80.2, 14

Crystal structure
Cell lengths 3.535, 3.535, 9.151 Å; angles 90.00, 90.00, 90.00 degrees
Atoms (fractional coordinates):
1 La 0.000 0.000 0.000
2 Ho 0.500 0.500 0.704
3 Er 0.500 0.500 0.294
4 Al 0.000 0.000 0.498

# 4
# BaNa2Zn2S4
Theoretical X-ray diffraction stick pattern, a wavelength of 1.5418 Å. Input: the PBE geometry in Alexandria.
Intensities are scaled so that the largest is 100.

Most intense lines, 2θ = 10–90°, by angle:
d/Å, two_theta, intensity
6.819, 13.0, 100
3.520, 25.3, 20
3.199, 27.9, 49
2.999, 29.8, 56
2.665, 33.6, 38
2.541, 35.3, 31
2.101, 43.1, 31
2.058, 44.0, 17
2.016, 45.0, 13
1.599, 57.6, 14

Crystal structure
Cell lengths 7.123, 7.123, 10.664 Å; angles 127.63, 127.63, 33.59 degrees
Atoms (fractional coordinates):
1 Ba 0.000 0.000 0.000
2 Na 0.159 0.159 0.772
3 Na 0.841 0.841 0.228
4 Zn 0.353 0.353 0.639
5 Zn 0.647 0.647 0.361
6 S 0.255 0.255 0.360
7 S 0.431 0.431 0.150
8 S 0.569 0.569 0.850
9 S 0.745 0.745 0.640

> What is the formula in the third record?

LaHoErAl

> Which formula does entry 1 have?

Mg11Hg9Pt4